# CeHfTh2N4
Simulated X-ray diffraction stick pattern, Cu Kα (weighted mean of Kα1 and Kα2). Input: the PBE geometry in Alexandria.

Peak list (6 most intense, 15 to 90 degrees two-theta, low angle first)
Position (°2θ), Rel. int.
30.79, 385
30.92, 380
31.46, 724
36.13, 1000
51.94, 234
52.11, 232

Structural model:
```
data_CeHfTh2N4
_chemical_formula_sum 'Ce1 Hf1 Th2 N4'
_space_group_name_H-M_alt 'P 1 2/m 1'
_space_group_IT_number 10
_space_group_name_Hall '-P 2y'
_cell_length_a 6.1070
_cell_length_b 3.4658
_cell_length_c 6.1320
_cell_angle_alpha 90.00
_cell_angle_beta 108.70
_cell_angle_gamma 90.00
loop_
_atom_site_label
_atom_site_type_symbol
_atom_site_fract_x
_atom_site_fract_y
_atom_site_fract_z
Ce1 Ce 0.0000 0.0000 0.0000
Hf1 Hf 0.5000 0.5000 0.0000
Th1 Th 0.0000 0.5000 0.5000
Th2 Th 0.5000 0.0000 0.5000
N1 N 0.2664 0.5000 0.2253
N2 N 0.2802 0.0000 0.7825
```